Simulated powder XRD pattern
Compound: LiCd5Au2
Radiation: λ = 1.5418 Å (Cu Kα)
Structure: a cell relaxed with GGA-PBE
Intensities are scaled so that the largest is 100.

Peak list (12 most intense, 10° ≤ 2θ ≤ 90°, in order of rising 2θ)
hkl, 2theta, I/Imax
0 0 4, 19.79, 17.7
1 0 2, 24.05, 23.5
1 0 3, 26.52, 31.9
1 0 5, 33.31, 36.7
1 0 6, 37.33, 50.4
1 1 0, 38.38, 100.0
1 0 7, 41.66, 25.3
1 1 4, 43.54, 14.7
2 0 6, 54.61, 16.3
1 0 11, 61.22, 15.6
2 1 6, 68.71, 16.1
3 0 0, 69.40, 17.0

Structural model:
a = 4.6911 Å, b = 4.6911 Å, c = 17.9470 Å
α = 90.00°, β = 90.00°, γ = 120.00°
Space group P6_3/mmc (No. 194)
One atom of each set of equivalent atoms:
Li (0.3333, 0.6667, 0.2500)
Cd (0.0000, 0.0000, 0.1616)
Cd (0.3333, 0.6667, 0.5534)
Cd (0.3333, 0.6667, 0.7500)
Au (0.3333, 0.6667, 0.1048)


Simulated powder XRD pattern
Compound: HoEr3Se4
Radiation: λ = 1.5418 Å (Cu Kα)
Structure: a cell relaxed with GGA-PBE
Intensities are scaled so that the largest is 100.

Peak list (10 most intense, 10° ≤ 2θ ≤ 90°, in order of rising 2θ)
hkl, 2theta, I/Imax
1 1 1, 27.02, 22.9
2 0 0, 31.30, 100.0
2 2 0, 44.85, 74.0
3 1 1, 53.14, 11.3
2 2 2, 55.71, 26.0
4 0 0, 65.30, 12.1
3 3 1, 72.01, 4.6
4 2 0, 74.19, 33.3
4 2 2, 82.71, 25.3
5 1 1, 88.98, 3.7

Structural model:
a = 5.7160 Å, b = 5.7160 Å, c = 5.7160 Å
α = 90.00°, β = 90.00°, γ = 90.00°
Space group Pm-3m (No. 221)
One atom of each set of equivalent atoms:
Ho (0.0000, 0.0000, 0.0000)
Er (0.0000, 0.5000, 0.5000)
Se (0.0000, 0.0000, 0.5000)
Se (0.5000, 0.5000, 0.5000)


Simulated powder XRD pattern
Compound: Rb3Ac2CdS6
Radiation: λ = 1.5418 Å (Cu Kα)
Structure: a cell relaxed with GGA-PBE
Intensities are scaled so that the largest is 100.

Peak list (12 most intense, 10° ≤ 2θ ≤ 90°, in order of rising 2θ)
hkl, 2theta, I/Imax
0 0 1, 11.36, 33.7
0 0 2, 22.84, 23.1
2 0 0, 25.01, 50.7
1 3 1, 28.34, 100.0
2 0 2, 39.14, 37.8
0 6 0, 41.85, 34.9
2 0 -4, 45.79, 13.7
3 3 -3, 48.20, 20.5
4 0 -2, 49.36, 13.5
4 0 0, 51.31, 18.7
3 3 3, 64.45, 15.0
4 6 0, 68.29, 15.6

Structural model:
a = 7.4792 Å, b = 12.9493 Å, c = 8.1757 Å
α = 90.00°, β = 107.71°, γ = 90.00°
Space group C2/m (No. 12)
One atom of each set of equivalent atoms:
Rb (0.0000, 0.0000, 0.0000)
Rb (0.0000, 0.3352, 0.0000)
Ac (0.0000, 0.1669, 0.5000)
Cd (0.0000, 0.5000, 0.5000)
S (0.2269, 0.3406, 0.7026)
S (0.2490, 0.0000, 0.7012)


Simulated powder XRD pattern
Compound: ZnSb2O4
Radiation: λ = 1.5418 Å (Cu Kα)
Structure: a cell relaxed with GGA-PBE
Intensities are scaled so that the largest is 100.

Peak list (12 most intense, 10° ≤ 2θ ≤ 90°, in order of rising 2θ)
hkl, 2theta, I/Imax
2 0 0, 14.24, 37.4
2 0 -2, 18.90, 80.7
2 0 2, 26.74, 100.0
4 0 -2, 28.30, 39.5
1 1 -1, 28.60, 33.3
1 1 1, 30.15, 46.6
3 1 -1, 33.92, 79.0
1 1 -3, 37.65, 87.9
6 0 -2, 41.12, 38.7
1 1 3, 41.24, 59.8
5 1 1, 49.17, 44.8
5 1 -5, 56.33, 35.8

Structural model:
a = 13.2245 Å, b = 3.3089 Å, c = 10.3954 Å
α = 90.00°, β = 109.84°, γ = 90.00°
Space group C2/m (No. 12)
One atom of each set of equivalent atoms:
Zn (0.2495, 0.0000, 0.2496)
Sb (0.1197, 0.0000, 0.9095)
Sb (0.1198, 0.5000, 0.4105)
O (0.1014, 0.0000, 0.2774)
O (0.1018, 0.5000, 0.7768)
O (0.2293, 0.0000, 0.5996)
O (0.2291, 0.5000, 0.0997)


Simulated powder XRD pattern
Compound: YInCl2
Radiation: λ = 1.5418 Å (Cu Kα)
Structure: a cell relaxed with GGA-PBE
Intensities are scaled so that the largest is 100.

Peak list (12 most intense, 10° ≤ 2θ ≤ 90°, in order of rising 2θ)
hkl, 2theta, I/Imax
2 0 -1, 17.19, 100.0
1 1 0, 26.14, 34.1
2 0 1, 27.98, 93.2
1 1 -1, 28.69, 57.1
0 0 2, 32.25, 26.4
1 1 1, 32.75, 47.9
3 1 -1, 34.01, 56.5
4 0 -2, 34.78, 31.5
3 1 0, 35.58, 43.3
1 1 -2, 38.78, 38.2
3 1 -2, 39.88, 32.4
2 2 1, 58.94, 30.8

Structural model:
a = 11.8693 Å, b = 3.5992 Å, c = 6.2084 Å
α = 90.00°, β = 116.59°, γ = 90.00°
Space group Cm (No. 8)
One atom of each set of equivalent atoms:
Y (0.0000, 0.0000, 0.0000)
In (0.2310, 0.5000, 0.4714)
Cl (0.0654, 0.5000, 0.7569)
Cl (0.3671, 0.0000, 0.1103)


Simulated powder XRD pattern
Compound: Sm3Dy3Pt2
Radiation: λ = 1.5418 Å (Cu Kα)
Structure: a cell relaxed with GGA-PBE
Intensities are scaled so that the largest is 100.

Peak list (12 most intense, 10° ≤ 2θ ≤ 90°, in order of rising 2θ)
hkl, 2theta, I/Imax
0 2 0, 13.68, 24.8
0 4 1, 28.04, 14.0
0 0 6, 30.42, 14.2
1 3 0, 30.63, 54.1
1 1 4, 31.11, 58.6
0 4 4, 34.34, 100.0
1 1 5, 34.75, 36.3
0 2 7, 38.35, 12.3
1 1 7, 43.13, 13.5
2 0 0, 45.78, 25.2
1 7 1, 55.05, 21.0
2 4 4, 58.49, 18.4

Structural model:
a = 3.9640 Å, b = 12.9421 Å, c = 17.6299 Å
α = 90.00°, β = 90.00°, γ = 90.00°
Space group Cmcm (No. 63)
One atom of each set of equivalent atoms:
Sm (0.0000, 0.0487, 0.1033)
Sm (0.0000, 0.3381, 0.2500)
Dy (0.0000, 0.3437, 0.0431)
Dy (0.0000, 0.3911, 0.7500)
Pt (0.0000, 0.2590, 0.6238)


Simulated powder XRD pattern
Compound: Li2Mg3Al9
Radiation: λ = 1.5418 Å (Cu Kα)
Structure: a cell relaxed with GGA-PBE
Intensities are scaled so that the largest is 100.

Peak list (12 most intense, 10° ≤ 2θ ≤ 90°, in order of rising 2θ)
hkl, 2theta, I/Imax
1 3 0, 33.50, 66.3
1 2 3, 35.68, 100.0
0 2 4, 35.78, 45.4
1 3 2, 37.02, 19.4
1 1 4, 38.27, 46.7
2 0 0, 40.93, 59.5
1 4 1, 41.98, 57.7
1 3 4, 46.22, 16.2
0 5 3, 51.06, 14.8
2 2 4, 55.48, 24.5
1 4 7, 71.51, 26.5
0 8 0, 75.27, 13.6

Structural model:
a = 4.4097 Å, b = 10.0957 Å, c = 11.5694 Å
α = 90.00°, β = 90.00°, γ = 90.00°
Space group Immm (No. 71)
One atom of each set of equivalent atoms:
Li (0.0000, 0.1507, 0.0000)
Mg (0.0000, 0.0000, 0.2196)
Mg (0.0000, 0.0000, 0.5000)
Al (0.0000, 0.2824, 0.3467)
Al (0.0000, 0.3705, 0.1262)
Al (0.0000, 0.5000, 0.5000)


Simulated powder XRD pattern
Compound: Ac2YNiS5
Radiation: λ = 1.5418 Å (Cu Kα)
Structure: a cell relaxed with GGA-PBE
Intensities are scaled so that the largest is 100.

Peak list (12 most intense, 10° ≤ 2θ ≤ 90°, in order of rising 2θ)
hkl, 2theta, I/Imax
0 4 0, 20.98, 45.7
1 1 0, 22.72, 31.7
0 2 3, 24.07, 79.0
1 3 0, 27.22, 30.8
1 1 3, 31.57, 100.0
0 6 1, 32.54, 24.2
1 3 3, 35.02, 36.8
1 5 2, 37.66, 35.9
0 6 3, 38.69, 22.9
1 5 3, 41.18, 23.1
2 0 0, 45.08, 23.6
1 1 6, 50.16, 31.0

Structural model:
a = 4.0222 Å, b = 16.9377 Å, c = 12.3312 Å
α = 90.00°, β = 90.00°, γ = 90.00°
Space group Cmc2_1 (No. 36)
One atom of each set of equivalent atoms:
Ac (0.0000, 0.1195, 0.0000)
Ac (0.0000, 0.1200, 0.3527)
Y (0.0000, 0.1786, 0.6795)
Ni (0.0000, 0.4463, 0.0822)
S (0.0000, 0.0205, 0.6616)
S (0.0000, 0.3043, 0.3353)
S (0.0000, 0.3126, 0.0247)
S (0.0000, 0.3412, 0.6759)
S (0.0000, 0.4978, 0.4145)


Simulated powder XRD pattern
Compound: La3CuBr3
Radiation: λ = 1.5418 Å (Cu Kα)
Structure: a cell relaxed with GGA-PBE
Intensities are scaled so that the largest is 100.

Peak list (12 most intense, 10° ≤ 2θ ≤ 90°, in order of rising 2θ)
hkl, 2theta, I/Imax
1 1 0, 10.26, 21.4
2 1 1, 17.82, 6.3
3 2 1, 27.36, 18.1
4 0 0, 29.29, 100.0
3 3 2, 34.50, 10.2
4 4 0, 41.91, 72.4
4 4 4, 51.95, 24.8
7 2 1, 55.36, 8.1
7 3 2, 59.70, 7.0
8 0 0, 60.76, 11.1
8 4 0, 68.86, 29.5
8 4 4, 76.54, 21.2

Structural model:
a = 12.1952 Å, b = 12.1952 Å, c = 12.1952 Å
α = 90.00°, β = 90.00°, γ = 90.00°
Space group I4_132 (No. 214)
One atom of each set of equivalent atoms:
La (0.1153, 0.3653, 0.1250)
Cu (0.1250, 0.1250, 0.1250)
Br (0.1174, 0.1326, 0.6250)


Simulated powder XRD pattern
Compound: Al3Tl
Radiation: λ = 1.5418 Å (Cu Kα)
Structure: a cell relaxed with GGA-PBE
Intensities are scaled so that the largest is 100.

Peak list (12 most intense, 10° ≤ 2θ ≤ 90°, in order of rising 2θ)
hkl, 2theta, I/Imax
0 0 2, 17.41, 62.4
0 0 3, 26.25, 31.5
1 1 0, 32.25, 27.5
1 1 1, 33.46, 56.0
0 0 4, 35.24, 26.3
0 2 0, 36.49, 26.4
1 1 2, 36.88, 100.0
1 1 3, 42.05, 19.2
1 1 4, 48.51, 21.1
0 2 4, 51.63, 17.8
1 1 5, 55.99, 18.4
1 3 2, 65.93, 18.5

Structural model:
a = 3.3601 Å, b = 4.9249 Å, c = 10.1866 Å
α = 90.00°, β = 90.00°, γ = 90.00°
Space group Cmmm (No. 65)
One atom of each set of equivalent atoms:
Al (0.0000, 0.0000, 0.0000)
Al (0.0000, 0.5000, 0.2211)
Tl (0.0000, 0.0000, 0.5000)


Simulated powder XRD pattern
Compound: PrGdPa4
Radiation: λ = 1.5418 Å (Cu Kα)
Structure: a cell relaxed with GGA-PBE
Intensities are scaled so that the largest is 100.

Peak list (12 most intense, 10° ≤ 2θ ≤ 90°, in order of rising 2θ)
hkl, 2theta, I/Imax
1 1 1, 17.57, 21.4
2 2 0, 28.88, 15.5
3 1 1, 34.01, 100.0
2 2 2, 35.57, 55.2
4 0 0, 41.31, 12.5
3 3 1, 45.21, 6.3
4 2 2, 51.19, 6.3
5 1 1, 54.54, 35.5
4 4 0, 59.84, 33.4
5 3 3, 70.65, 12.4
6 2 2, 71.59, 22.7
7 3 1, 85.27, 23.2

Structural model:
a = 8.7428 Å, b = 8.7428 Å, c = 8.7428 Å
α = 90.00°, β = 90.00°, γ = 90.00°
Space group F-43m (No. 216)
One atom of each set of equivalent atoms:
Pr (0.0000, 0.0000, 0.0000)
Gd (0.2500, 0.2500, 0.2500)
Pa (0.1248, 0.1248, 0.6248)